Calculated X-ray diffraction stick pattern of MnZnPt2 for Cu Kα X-rays, from the GGA-PBE geometry in Alexandria.
Kinematic intensities with the Lorentz-polarization factor, no thermal factor.

Cell and atoms:
a = 2.8991 Å, b = 3.5559 Å, c = 5.7414 Å
α = 90.00°, β = 90.00°, γ = 90.00°
Element x y z (fractional)
1 Mn 0.0000 0.0000 0.0000
2 Zn 0.0000 0.0000 0.5000
3 Pt 0.5000 0.5000 0.2516
4 Pt 0.5000 0.5000 0.7484

The 10 most intense peaks (10 to 90 degrees two-theta), sorted by position:
3.556 Å, I 42; 2.899 Å, I 25; 2.247 Å, I 100; 2.234 Å, I 98; 2.040 Å, I 75; 1.778 Å, I 24; 1.769 Å, I 25; 1.340 Å, I 38; 1.216 Å, I 28; 1.210 Å, I 27